Starting from a DFT-relaxed cell (PBE, the Materials Project), the powder diffraction line list of ThH2SO6 was calculated for a wavelength of 1.5418 Å.
Neutral-atom scattering factors, no anomalous dispersion.

Cell and atoms:
Cell lengths 11.8059, 6.0990, 7.2213 Å; angles 90.00, 90.00, 90.00 degrees
Sites, in units of the cell vectors:
Th 0.0624 0.2500 0.1489
Th 0.4376 0.7500 0.6489
Th 0.5624 0.2500 0.3511
Th 0.9376 0.7500 0.8511
H 0.1541 0.0080 0.8203
H 0.1541 0.4920 0.8203
H 0.3459 0.5080 0.3203
H 0.3459 0.9920 0.3203
H 0.6541 0.0080 0.6797
H 0.6541 0.4920 0.6797
H 0.8459 0.5080 0.1797
H 0.8459 0.9920 0.1797
S 0.1398 0.7500 0.4467
S 0.3602 0.2500 0.9467
S 0.6398 0.7500 0.0533
S 0.8602 0.2500 0.5533
O 0.0283 0.7500 0.5404
O 0.0845 0.0057 0.8930
O 0.0845 0.4943 0.8930
O 0.1530 0.5514 0.3292
O 0.1530 0.9486 0.3292
O 0.2309 0.7500 0.5897
O 0.2691 0.2500 0.0897
O 0.3470 0.0514 0.8292
O 0.3470 0.4486 0.8292
O 0.4155 0.5057 0.3930
O 0.4155 0.9943 0.3930
O 0.4717 0.2500 0.0404
O 0.5283 0.7500 0.9596
O 0.5845 0.0057 0.6070
O 0.5845 0.4943 0.6070
O 0.6530 0.5514 0.1708
O 0.6530 0.9486 0.1708
O 0.7309 0.7500 0.9103
O 0.7691 0.2500 0.4103
O 0.8470 0.0514 0.6708
O 0.8470 0.4486 0.6708
O 0.9155 0.5057 0.1070
O 0.9155 0.9943 0.1070
O 0.9717 0.2500 0.4596

The 10 most intense peaks (5° ≤ 2θ ≤ 70°), by intensity:
2theta, intensity, h k l
29.73, 100, 1 1 2
19.05, 71, 0 1 1
15.01, 49, 2 0 0
19.42, 47, 2 0 1
33.73, 46, 4 1 0
24.34, 44, 2 1 1
20.49, 42, 1 1 1
14.38, 42, 1 0 1
45.23, 25, 3 2 2
44.53, 24, 4 2 1